This entry pairs a crystal structure of Li5Mn4O8 with its simulated powder X-ray diffraction pattern. Radiation: Cu Kα, 1.54184 Å. Structure: a DFT-relaxed cell (GGA+U, Alexandria).

Structural model:
```
data_Li5Mn4O8
_chemical_formula_sum 'Li10 Mn8 O16'
_cell_length_a 5.7958
_cell_length_b 6.3038
_cell_length_c 10.3774
_cell_angle_alpha 86.23
_cell_angle_beta 80.96
_cell_angle_gamma 65.56
_space_group_name_H-M_alt 'P -1'
_space_group_IT_number 2
_space_group_name_Hall '-P 1'
loop_
_atom_site_label
_atom_site_type_symbol
_atom_site_fract_x
_atom_site_fract_y
_atom_site_fract_z
Li1 Li 0.0232 0.0833 0.4105
Li2 Li 0.2079 0.7060 0.7881
Li3 Li 0.2381 0.7137 0.2749
Li4 Li 0.3218 0.1862 0.2541
Li5 Li 0.4345 0.4307 0.0849
Mn1 Mn 0.0000 0.0000 0.0000
Mn2 Mn 0.0000 0.5000 0.0000
Mn3 Mn 0.0000 0.5000 0.5000
Mn4 Mn 0.2520 0.2426 0.7524
Mn5 Mn 0.5000 0.0000 0.0000
Mn6 Mn 0.5000 0.0000 0.5000
Mn7 Mn 0.5000 0.5000 0.5000
O1 O 0.0939 0.6559 0.1272
O2 O 0.1428 0.1277 0.5900
O3 O 0.1605 0.1394 0.1089
O4 O 0.1743 0.5935 0.6206
O5 O 0.3310 0.4017 0.3847
O6 O 0.3466 0.4059 0.8991
O7 O 0.3580 0.8918 0.8731
O8 O 0.3869 0.8883 0.3630
```

Principal peaks in the range 2θ = 10–80°, in order of falling intensity:
| two_theta | I/Imax |
| --- | --- |
| 35.87 | 100 |
| 17.69 | 90 |
| 17.31 | 60 |
| 40.98 | 52 |
| 47.06 | 42 |
| 17.93 | 39 |
| 31.19 | 23 |
| 56.54 | 18 |
| 54.62 | 17 |
| 37.71 | 16 |